Li3Sm4Bi8: calculated PXRD pattern (CuKα), based on the GGA-PBE geometry in Alexandria.
Intensities are scaled so that the largest is 100.

Crystal structure
a = 4.552 Å, b = 4.552 Å, c = 20.349 Å
α = 90.00°, β = 90.00°, γ = 90.00°
Positions (direct):
1 Li 0.000 0.000 0.000
2 Li 0.000 0.000 0.500
3 Li 0.500 0.500 0.000
4 Sm 0.000 0.500 0.134
5 Sm 0.000 0.500 0.615
6 Sm 0.500 0.000 0.385
7 Sm 0.500 0.000 0.866
8 Bi 0.000 0.000 0.259
9 Bi 0.000 0.000 0.741
10 Bi 0.000 0.500 0.429
11 Bi 0.000 0.500 0.913
12 Bi 0.500 0.000 0.087
13 Bi 0.500 0.000 0.571
14 Bi 0.500 0.500 0.259
15 Bi 0.500 0.500 0.741

Most intense lines, 2θ = 10–90°, sorted by position:
- 2θ = 26.27°, I 58
- 2θ = 27.71°, I 8
- 2θ = 29.10°, I 63
- 2θ = 32.93°, I 100
- 2θ = 39.59°, I 45
- 2θ = 48.15°, I 36
- 2θ = 49.04°, I 14
- 2θ = 57.24°, I 16
- 2θ = 64.04°, I 13
- 2θ = 64.77°, I 14
- 2θ = 65.48°, I 13
- 2θ = 67.64°, I 26

LiSnBi: calculated PXRD pattern (CuKα), based on the GGA-PBE geometry in Alexandria.
Intensities are scaled so that the largest is 100.

Crystal structure
a = 4.582 Å, b = 14.287 Å, c = 4.904 Å
α = 90.00°, β = 90.00°, γ = 90.00°
Positions (direct):
1 Li 0.000 0.084 0.250
2 Li 0.000 0.916 0.750
3 Li 0.500 0.416 0.750
4 Li 0.500 0.584 0.250
5 Sn 0.000 0.437 0.250
6 Sn 0.000 0.563 0.750
7 Sn 0.500 0.063 0.750
8 Sn 0.500 0.937 0.250
9 Bi 0.000 0.209 0.750
10 Bi 0.000 0.791 0.250
11 Bi 0.500 0.291 0.250
12 Bi 0.500 0.709 0.750

Most intense lines, 2θ = 10–90°, sorted by position:
- 2θ = 12.39°, I 27
- 2θ = 21.99°, I 64
- 2θ = 27.00°, I 43
- 2θ = 27.36°, I 51
- 2θ = 32.70°, I 100
- 2θ = 36.65°, I 29
- 2θ = 37.08°, I 30
- 2θ = 39.32°, I 24
- 2θ = 42.20°, I 33
- 2θ = 46.11°, I 21
- 2θ = 53.12°, I 22
- 2θ = 59.04°, I 24

Li3SnBi2: calculated PXRD pattern (CuKα), based on the GGA-PBE geometry in Alexandria.
Intensities are scaled so that the largest is 100.

Crystal structure
a = 3.432 Å, b = 3.432 Å, c = 11.656 Å
α = 90.00°, β = 90.00°, γ = 90.00°
Positions (direct):
1 Li 0.000 0.000 0.000
2 Li 0.000 0.000 0.345
3 Li 0.000 0.000 0.655
4 Sn 0.500 0.500 0.500
5 Bi 0.500 0.500 0.177
6 Bi 0.500 0.500 0.823

Most intense lines, 2θ = 10–90°, sorted by position:
- 2θ = 22.89°, I 63
- 2θ = 25.96°, I 97
- 2θ = 34.88°, I 100
- 2θ = 37.04°, I 44
- 2θ = 43.99°, I 48
- 2θ = 53.39°, I 16
- 2θ = 54.26°, I 24
- 2θ = 58.83°, I 21
- 2θ = 60.30°, I 20
- 2θ = 61.10°, I 19
- 2θ = 65.37°, I 34
- 2θ = 79.60°, I 16

Li8Sn3Bi4: calculated PXRD pattern (CuKα), based on the GGA-PBE geometry in Alexandria.
Intensities are scaled so that the largest is 100.

Crystal structure
a = 9.896 Å, b = 9.896 Å, c = 9.896 Å
α = 60.00°, β = 60.00°, γ = 60.00°
Positions (direct):
1 Li 0.103 0.632 0.632
2 Li 0.132 0.132 0.132
3 Li 0.132 0.132 0.605
4 Li 0.132 0.605 0.132
5 Li 0.368 0.368 0.368
6 Li 0.368 0.368 0.897
7 Li 0.368 0.897 0.368
8 Li 0.395 0.868 0.868
9 Li 0.605 0.132 0.132
10 Li 0.632 0.103 0.632
11 Li 0.632 0.632 0.103
12 Li 0.632 0.632 0.632
13 Li 0.868 0.395 0.868
14 Li 0.868 0.868 0.395
15 Li 0.868 0.868 0.868
16 Li 0.897 0.368 0.368
17 Sn 0.250 0.250 0.750
18 Sn 0.250 0.750 0.250
19 Sn 0.250 0.750 0.750
20 Sn 0.750 0.250 0.250
21 Sn 0.750 0.250 0.750
22 Sn 0.750 0.750 0.250
23 Bi 0.000 0.000 0.000
24 Bi 0.000 0.000 0.500
25 Bi 0.000 0.500 0.000
26 Bi 0.000 0.500 0.500
27 Bi 0.500 0.000 0.000
28 Bi 0.500 0.000 0.500
29 Bi 0.500 0.500 0.000
30 Bi 0.500 0.500 0.500

Most intense lines, 2θ = 10–90°, sorted by position:
- 2θ = 22.00°, I 30
- 2θ = 25.46°, I 100
- 2θ = 36.31°, I 93
- 2θ = 42.87°, I 17
- 2θ = 44.87°, I 31
- 2θ = 52.30°, I 17
- 2θ = 57.40°, I 7
- 2θ = 59.04°, I 42
- 2θ = 65.33°, I 35
- 2θ = 77.11°, I 11
- 2θ = 82.76°, I 21
- 2θ = 88.34°, I 17

Li12Sn2Bi7: calculated PXRD pattern (CuKα), based on the GGA-PBE geometry in Alexandria.
Intensities are scaled so that the largest is 100.

Crystal structure
a = 12.688 Å, b = 12.688 Å, c = 3.498 Å
α = 90.00°, β = 90.00°, γ = 120.00°
Positions (direct):
1 Li 0.048 0.257 0.000
2 Li 0.124 0.711 0.500
3 Li 0.209 0.952 0.000
4 Li 0.289 0.414 0.500
5 Li 0.412 0.165 0.500
6 Li 0.519 0.409 0.000
7 Li 0.586 0.876 0.500
8 Li 0.591 0.110 0.000
9 Li 0.743 0.791 0.000
10 Li 0.753 0.588 0.500
11 Li 0.835 0.247 0.500
12 Li 0.890 0.481 0.000
13 Sn 0.000 0.000 0.500
14 Sn 0.333 0.667 0.000
15 Bi 0.083 0.463 0.500
16 Bi 0.249 0.205 0.000
17 Bi 0.380 0.917 0.500
18 Bi 0.537 0.620 0.500
19 Bi 0.667 0.333 0.500
20 Bi 0.795 0.044 0.000
21 Bi 0.956 0.751 0.000

Most intense lines, 2θ = 10–90°, sorted by position:
- 2θ = 21.40°, I 100
- 2θ = 29.15°, I 24
- 2θ = 30.29°, I 33
- 2θ = 33.49°, I 28
- 2θ = 37.51°, I 43
- 2θ = 39.21°, I 18
- 2θ = 43.59°, I 15
- 2θ = 44.29°, I 21
- 2θ = 57.14°, I 15
- 2θ = 57.41°, I 10
- 2θ = 58.80°, I 18
- 2θ = 66.13°, I 17

Li6Sn5Bi: calculated PXRD pattern (CuKα), based on the GGA-PBE geometry in Alexandria.
Intensities are scaled so that the largest is 100.

Crystal structure
a = 8.447 Å, b = 8.447 Å, c = 4.935 Å
α = 106.20°, β = 106.20°, γ = 120.19°
Positions (direct):
1 Li 0.082 0.417 0.750
2 Li 0.247 0.247 0.247
3 Li 0.417 0.082 0.750
4 Li 0.583 0.918 0.250
5 Li 0.753 0.753 0.753
6 Li 0.918 0.583 0.250
7 Sn 0.000 0.000 0.500
8 Sn 0.167 0.833 0.000
9 Sn 0.330 0.670 0.500
10 Sn 0.670 0.330 0.500
11 Sn 0.833 0.167 0.000
12 Bi 0.500 0.500 0.000

Most intense lines, 2θ = 10–90°, sorted by position:
- 2θ = 25.52°, I 52
- 2θ = 25.67°, I 100
- 2θ = 36.09°, I 49
- 2θ = 36.43°, I 24
- 2θ = 36.82°, I 23
- 2θ = 36.93°, I 46
- 2θ = 44.29°, I 13
- 2θ = 45.34°, I 23
- 2θ = 52.76°, I 17
- 2θ = 59.85°, I 20
- 2θ = 65.82°, I 18
- 2θ = 66.42°, I 17